Theoretical powder diffraction line list
Compound: GeTe4Pb3
Radiation: Cu Kα X-rays
Structure: the PBE geometry in the Materials Project
Intensities are scaled so that the largest is 100.

Principal peaks in the range 10 to 90 degrees two-theta, sorted by position:
Position (°2θ)  d (Å)  intensity
20.6  4.304  5
23.9  3.727  5
27.6  3.228  100
28.5  3.132  3
39.5  2.282  77
48.9  1.864  28
57.1  1.614  13
64.6  1.443  36
71.6  1.318  26
85.0  1.141  8

Structure:
```
8
Lattice="4.5638 0.0000 0.0000 0.0000 4.5638 0.0000 0.0000 0.0000 12.9166" Properties=species:S:1:pos:R:3 pbc="T T T"
Ge 0.0000 0.0000 0.0000
Te 0.0000 0.0000 3.0656
Te 0.0000 0.0000 9.8510
Te 2.2819 2.2819 0.0000
Te 2.2819 2.2819 6.4583
Pb 0.0000 0.0000 6.4583
Pb 2.2819 2.2819 3.1898
Pb 2.2819 2.2819 9.7268
```